No. 1
Computed XRD peak list of Li7Co5O12 for a wavelength of 1.5418 Å, from a cell relaxed with PBE+U.
Peak positions follow from Bragg's law for the DFT cell and can differ from measured ones.

Crystal structure
Unit cell a=6.432 b=6.592 c=10.065 alpha=81.66 beta=83.51 gamma=83.59
Positions (direct):
Li 0.000 0.001 0.250
Li 0.000 0.999 0.750
Li 0.086 0.418 0.621
Li 0.088 0.418 0.122
Li 0.242 0.241 0.369
Li 0.243 0.238 0.866
Li 0.417 0.082 0.621
Li 0.419 0.084 0.119
Li 0.581 0.916 0.881
Li 0.583 0.918 0.379
Li 0.757 0.762 0.134
Li 0.758 0.759 0.631
Li 0.912 0.582 0.878
Li 0.914 0.582 0.379
Co 0.162 0.839 0.498
Co 0.164 0.840 0.998
Co 0.324 0.677 0.251
Co 0.325 0.674 0.751
Co 0.500 0.500 0.000
Co 0.500 0.500 0.500
Co 0.675 0.326 0.249
Co 0.676 0.323 0.749
Co 0.836 0.160 0.002
Co 0.838 0.161 0.502
O 0.062 0.712 0.678
O 0.062 0.714 0.177
O 0.109 0.112 0.551
O 0.109 0.114 0.051
O 0.208 0.568 0.440
O 0.218 0.566 0.943
O 0.282 0.944 0.329
O 0.283 0.943 0.828
O 0.389 0.378 0.683
O 0.394 0.385 0.181
O 0.437 0.793 0.062
O 0.438 0.788 0.561
O 0.562 0.212 0.439
O 0.563 0.207 0.938
O 0.606 0.615 0.819
O 0.611 0.622 0.317
O 0.717 0.057 0.172
O 0.718 0.056 0.671
O 0.782 0.434 0.057
O 0.792 0.432 0.560
O 0.891 0.886 0.949
O 0.891 0.888 0.449
O 0.938 0.286 0.823
O 0.938 0.288 0.322

Most intense lines, 10 to 90 degrees two-theta, low angle first:
2theta	I (rel.)
18.6	100
35.8	14
36.3	13
36.9	12
43.3	29
44.0	28
44.8	26
48.1	9
63.4	7
63.7	8

---

No. 2
Computed XRD peak list of BaMg14NiO16 for a wavelength of 1.5418 Å, from a cell relaxed with PBE+U.
Peak positions follow from Bragg's law for the DFT cell and can differ from measured ones.

Crystal structure
Unit cell a=4.502 b=8.703 c=8.734 alpha=90.00 beta=90.00 gamma=90.00
Positions (direct):
Ba 0.000 0.000 0.000
Mg 0.000 0.000 0.500
Mg 0.000 0.259 0.259
Mg 0.000 0.259 0.741
Mg 0.000 0.500 0.500
Mg 0.000 0.741 0.259
Mg 0.000 0.741 0.741
Mg 0.500 0.000 0.264
Mg 0.500 0.000 0.736
Mg 0.500 0.253 0.500
Mg 0.500 0.264 0.000
Mg 0.500 0.500 0.251
Mg 0.500 0.500 0.749
Mg 0.500 0.736 0.000
Mg 0.500 0.747 0.500
Ni 0.000 0.500 0.000
O 0.000 0.000 0.281
O 0.000 0.000 0.719
O 0.000 0.257 0.500
O 0.000 0.280 0.000
O 0.000 0.500 0.259
O 0.000 0.500 0.741
O 0.000 0.720 0.000
O 0.000 0.743 0.500
O 0.500 0.000 0.000
O 0.500 0.000 0.500
O 0.500 0.251 0.250
O 0.500 0.251 0.750
O 0.500 0.500 0.000
O 0.500 0.500 0.500
O 0.500 0.749 0.250
O 0.500 0.749 0.750

Most intense lines, 10 to 90 degrees two-theta, low angle first:
2theta	I (rel.)
10.1	70
20.4	39
35.3	74
40.1	100
41.4	92
41.5	86
58.9	54
59.0	54
60.0	49
74.6	47

---

No. 3
Computed XRD peak list of Al2CrO5 for a wavelength of 1.5418 Å, from a cell relaxed with PBE+U.
Peak positions follow from Bragg's law for the DFT cell and can differ from measured ones.

Crystal structure
Unit cell a=5.385 b=5.385 c=6.838 alpha=109.12 beta=109.12 gamma=54.91
Positions (direct):
Al 0.128 0.128 0.465
Al 0.152 0.105 0.965
Al 0.872 0.872 0.535
Al 0.895 0.848 0.035
Cr 0.511 0.488 0.750
Cr 0.512 0.489 0.250
O 0.079 0.752 0.804
O 0.172 0.451 0.094
O 0.248 0.921 0.196
O 0.311 0.689 0.500
O 0.475 0.148 0.595
O 0.549 0.828 0.906
O 0.713 0.287 0.000
O 0.776 0.056 0.304
O 0.852 0.525 0.405
O 0.944 0.224 0.696

Most intense lines, 10 to 90 degrees two-theta, low angle first:
2theta	I (rel.)
20.0	100
27.8	89
31.8	86
35.3	80
38.0	36
46.3	38
54.9	45
55.1	51
57.9	53
66.3	45